Computed X-ray diffraction stick pattern of UMnO3F6 for Cu Kα (weighted mean of Kα1 and Kα2), from a cell relaxed with PBE+U.
Peak positions follow from Bragg's law for the DFT cell and can differ from measured ones.

Most intense lines, 5 to 70 degrees two-theta, low angle first:
two_theta, I_rel, index
14.59, 100.0, 1 1 0
16.81, 42.7, 2 0 0
19.38, 90.2, 1 1 1
23.58, 42.5, 2 0 -2
24.10, 22.7, 1 1 -2
26.29, 32.3, 0 2 1
27.62, 36.9, 3 1 -1
29.78, 22.8, 2 2 -1
47.74, 23.0, 2 2 3
48.54, 19.9, 3 1 3

Atomic structure:
Cell: 10.9099 7.4288 8.5913 Å, 90.00 105.18 90.00°
Space group C2/c (No. 15)
Symmetry-distinct sites (fractional):
U (0.0000, 0.1206, 0.2500)
Mn (0.2500, 0.2500, 0.0000)
O (0.0000, 0.3643, 0.2500)
O (0.1593, 0.4350, 0.9917)
F (0.0791, 0.1456, 0.4926)
F (0.1177, 0.1366, 0.8339)
F (0.1826, 0.1531, 0.1687)